# 1
Structure and simulated powder X-ray diffraction pattern of KBe3Hg (a cell relaxed with PBE; Cu Kα, 1.54184 Å).
Intensities are scaled so that the largest is 100.

Structure:
abc: 4.6458 4.6458 4.6458
angles: 90.00 90.00 90.00
Space group Pm-3m (No. 221)
Symmetry-distinct sites (fractional):
K  0.0000  0.0000  0.0000 [1 per cell]
Be  0.0000  0.5000  0.5000 [3 per cell]
Hg  0.5000  0.5000  0.5000 [1 per cell]

Top 8 peaks for 15° ≤ 2θ ≤ 90°, sorted by position:
h k l	2θ/deg	Rel. int.
1 0 0	19.10	56
1 1 0	27.14	100
2 0 0	38.77	24
2 1 0	43.56	29
2 1 1	47.97	43
2 2 0	55.98	16
3 1 0	63.30	18
3 2 1	76.76	21



# 2
Structure and simulated powder X-ray diffraction pattern of CaAg2Cl (a cell relaxed with PBE; Cu Kα, 1.54184 Å).
Intensities are scaled so that the largest is 100.

Structure:
abc: 7.9072 4.4306 6.6227
angles: 90.00 90.43 90.00
Space group Cm (No. 8)
Symmetry-distinct sites (fractional):
Ca  0.0000  0.0000  0.0000 [2 per cell]
Ag  0.1549  0.5000  0.6463 [2 per cell]
Ag  0.3276  0.0000  0.7316 [2 per cell]
Cl  0.1702  0.5000  0.1975 [2 per cell]

Top 8 peaks for 15° ≤ 2θ ≤ 90°, sorted by position:
h k l	2θ/deg	Rel. int.
1 1 0	23.01	36
2 0 -1	26.16	37
1 1 1	26.74	100
0 0 2	26.93	54
2 0 -2	35.22	41
1 1 2	35.77	77
3 1 0	39.79	84
0 2 0	40.73	39